Computed powder diffraction line list of Ce6Bi2RuC for Cu Kα (weighted mean of Kα1 and Kα2), from DFT lattice parameters and positions (GGA-PBE).
Kinematic intensities with the Lorentz-polarization factor, no thermal factor.

The 10 most intense peaks (2θ from 5° to 70°), low angle first:
hkl  d [Å]  2θ (°)  intensity
1 0 2  3.667  24.27  9
1 1 2  2.983  29.96  100
0 0 4  2.624  34.17  24
2 0 0  2.563  35.00  49
2 1 2  2.101  43.06  4
2 0 4  1.834  49.72  34
2 2 0  1.813  50.34  18
1 1 6  1.575  58.59  13
3 1 2  1.549  59.69  29
2 2 4  1.491  62.25  17

Cell and atoms:
Cell lengths 5.127, 5.127, 10.496 Å; angles 90.00, 90.00, 90.00 degrees
Space group P4/mmm (No. 123)
Symmetry-distinct sites (fractional):
Ce  0.000  0.000  0.228 (multiplicity 2)
Ce  0.000  0.500  0.000 (multiplicity 2)
Ce  0.000  0.500  0.500 (multiplicity 2)
Bi  0.500  0.500  0.242 (multiplicity 2)
Ru  0.000  0.000  0.500 (multiplicity 1)
C  0.000  0.000  0.000 (multiplicity 1)

Computed powder diffraction line list of Ce2Tm5Bi3C2 for Cu Kα (weighted mean of Kα1 and Kα2), from DFT lattice parameters and positions (GGA-PBE).
Kinematic intensities with the Lorentz-polarization factor, no thermal factor.

The 10 most intense peaks (2θ from 5° to 70°), low angle first:
hkl  d [Å]  2θ (°)  intensity
0 0 2  12.999  6.80  14
1 1 4  3.025  29.53  33
1 1 6  2.683  33.39  100
0 0 10  2.600  34.50  17
2 0 0  2.417  37.20  50
2 0 10  1.770  51.64  21
2 2 0  1.709  53.63  17
2 0 12  1.613  57.09  11
1 1 16  1.468  63.38  16
3 1 6  1.441  64.67  31

Cell and atoms:
Cell lengths 4.833, 4.833, 25.999 Å; angles 90.00, 90.00, 90.00 degrees
Space group I4/mmm (No. 139)
Symmetry-distinct sites (fractional):
Ce  0.000  0.000  0.192 (multiplicity 4)
Tm  0.000  0.000  0.000 (multiplicity 2)
Tm  0.000  0.500  0.092 (multiplicity 8)
Bi  0.000  0.000  0.322 (multiplicity 4)
Bi  0.000  0.000  0.500 (multiplicity 2)
C  0.000  0.000  0.094 (multiplicity 4)

Computed powder diffraction line list of Ho3BiCCl for Cu Kα (weighted mean of Kα1 and Kα2), from DFT lattice parameters and positions (GGA-PBE).
Kinematic intensities with the Lorentz-polarization factor, no thermal factor.

The 10 most intense peaks (2θ from 5° to 70°), low angle first:
hkl  d [Å]  2θ (°)  intensity
0 0 1  9.673  9.14  40
1 0 2  3.979  22.34  22
0 0 3  3.224  27.67  19
1 0 -3  3.167  28.18  21
0 1 2  2.920  30.61  25
1 1 -2  2.838  31.53  44
2 1 0  2.783  32.17  100
3 0 -2  2.622  34.20  25
0 0 4  2.419  37.17  29
1 1 3  2.268  39.75  19

Cell and atoms:
Cell lengths 8.640, 3.664, 9.769 Å; angles 90.00, 98.02, 90.00 degrees
Space group P2_1/m (No. 11)
Symmetry-distinct sites (fractional):
Ho  0.074  0.250  0.381 (multiplicity 2)
Ho  0.129  0.250  0.885 (multiplicity 2)
Ho  0.325  0.750  0.640 (multiplicity 2)
Bi  0.350  0.750  0.303 (multiplicity 2)
C  0.130  0.250  0.642 (multiplicity 2)
Cl  0.358  0.750  0.920 (multiplicity 2)

Computed powder diffraction line list of BiC2SCl for Cu Kα (weighted mean of Kα1 and Kα2), from DFT lattice parameters and positions (GGA-PBE).
Kinematic intensities with the Lorentz-polarization factor, no thermal factor.

The 10 most intense peaks (2θ from 5° to 70°), low angle first:
hkl  d [Å]  2θ (°)  intensity
0 0 1  5.732  15.46  97
1 0 0  3.881  22.91  100
1 0 1  3.214  27.76  55
0 0 2  2.866  31.21  51
1 1 0  2.744  32.63  65
1 1 1  2.475  36.29  81
1 0 2  2.305  39.07  52
1 1 2  1.982  45.78  51
2 0 0  1.941  46.81  32
2 0 2  1.607  57.34  34

Cell and atoms:
Cell lengths 3.881, 3.881, 5.732 Å; angles 90.00, 90.00, 90.00 degrees
Space group P4/mmm (No. 123)
Symmetry-distinct sites (fractional):
Bi  0.000  0.000  0.000 (multiplicity 1)
C  0.000  0.500  0.500 (multiplicity 2)
S  0.000  0.000  0.500 (multiplicity 1)
Cl  0.500  0.500  0.000 (multiplicity 1)

Computed powder diffraction line list of Dy4Bi3C for Cu Kα (weighted mean of Kα1 and Kα2), from DFT lattice parameters and positions (GGA-PBE).
Kinematic intensities with the Lorentz-polarization factor, no thermal factor.

The 10 most intense peaks (2θ from 5° to 70°), low angle first:
hkl  d [Å]  2θ (°)  intensity
2 1 0  3.911  22.73  100
0 3 0  3.211  27.78  24
0 0 2  3.144  28.39  93
1 3 0  3.006  29.72  25
1 3 1  2.712  33.03  42
3 0 1  2.598  34.52  39
2 3 0  2.568  34.93  32
2 1 2  2.451  36.66  68
2 3 2  1.989  45.60  29
4 0 2  1.768  51.72  30

Cell and atoms:
Cell lengths 8.560, 9.633, 6.288 Å; angles 90.00, 90.00, 90.00 degrees
Space group Pmn2_1 (No. 31)
Symmetry-distinct sites (fractional):
Dy  0.000  0.038  0.000 (multiplicity 2)
Dy  0.000  0.798  0.431 (multiplicity 2)
Dy  0.224  0.681  0.990 (multiplicity 4)
Bi  0.000  0.103  0.506 (multiplicity 2)
Bi  0.189  0.354  0.998 (multiplicity 4)
C  0.000  0.802  0.064 (multiplicity 2)

Computed powder diffraction line list of Dy12Bi6C for Cu Kα (weighted mean of Kα1 and Kα2), from DFT lattice parameters and positions (GGA-PBE).
Kinematic intensities with the Lorentz-polarization factor, no thermal factor.

The 10 most intense peaks (2θ from 5° to 70°), low angle first:
hkl  d [Å]  2θ (°)  intensity
0 0 3  4.016  22.13  71
2 -1 3  3.417  26.08  24
1 3 1  3.026  29.52  40
1 0 4  2.909  30.73  53
3 1 2  2.775  32.26  100
0 4 2  2.552  35.16  28
2 1 4  2.459  36.54  77
5 -3 2  2.376  37.86  60
2 4 1  2.097  43.13  26
1 6 4  1.493  62.19  32

Cell and atoms:
Cell lengths 13.0152, 13.0152, 12.0450 Å; angles 90.00, 90.00, 120.00 degrees
Space group R-3 (No. 148, hexagonal axes)
Symmetry-distinct sites (fractional):
Dy  0.0338  0.1877  0.3850 (multiplicity 18)
Dy  0.0570  0.1748  0.8798 (multiplicity 18)
Bi  0.0387  0.4256  0.3110 (multiplicity 18)
C  0.0000  0.0000  0.0000 (multiplicity 3)

Computed powder diffraction line list of Dy4InBiC for Cu Kα (weighted mean of Kα1 and Kα2), from DFT lattice parameters and positions (GGA-PBE).
Kinematic intensities with the Lorentz-polarization factor, no thermal factor.

The 10 most intense peaks (2θ from 5° to 70°), low angle first:
hkl  d [Å]  2θ (°)  intensity
2 0 0  3.418  26.07  17
2 2 0  3.144  28.38  61
0 6 0  2.672  33.54  31
2 4 0  2.601  34.49  100
2 0 2  2.417  37.20  57
2 6 2  1.792  50.95  35
4 0 0  1.709  53.62  20
2 10 0  1.451  64.17  19
4 6 0  1.440  64.75  16
4 4 2  1.428  65.33  32

Cell and atoms:
Cell lengths 6.837, 16.029, 6.836 Å; angles 90.00, 90.00, 90.00 degrees
Space group Cmcm (No. 63)
Symmetry-distinct sites (fractional):
Dy  0.000  0.090  0.250 (multiplicity 4)
Dy  0.000  0.404  0.250 (multiplicity 4)
Dy  0.250  0.250  0.000 (multiplicity 8)
In  0.000  0.112  0.750 (multiplicity 4)
Bi  0.000  0.394  0.750 (multiplicity 4)
C  0.000  0.250  0.250 (multiplicity 4)

Computed powder diffraction line list of La2Dy5Bi3C2 for Cu Kα (weighted mean of Kα1 and Kα2), from DFT lattice parameters and positions (GGA-PBE).
Kinematic intensities with the Lorentz-polarization factor, no thermal factor.

The 10 most intense peaks (2θ from 5° to 70°), low angle first:
hkl  d [Å]  2θ (°)  intensity
0 0 2  13.258  6.67  14
1 1 4  3.079  29.00  30
1 1 6  2.732  32.78  100
0 0 10  2.652  33.80  15
2 0 0  2.458  36.55  49
2 0 10  1.803  50.64  20
2 2 0  1.738  52.66  17
2 0 12  1.643  55.95  12
1 1 16  1.496  62.04  15
3 1 6  1.467  63.42  31

Cell and atoms:
Cell lengths 4.916, 4.916, 26.517 Å; angles 90.00, 90.00, 90.00 degrees
Space group I4/mmm (No. 139)
Symmetry-distinct sites (fractional):
La  0.000  0.000  0.192 (multiplicity 4)
Dy  0.000  0.000  0.000 (multiplicity 2)
Dy  0.000  0.500  0.091 (multiplicity 8)
Bi  0.000  0.000  0.323 (multiplicity 4)
Bi  0.000  0.000  0.500 (multiplicity 2)
C  0.000  0.000  0.094 (multiplicity 4)

Computed powder diffraction line list of Pr2Dy5Bi3C2 for Cu Kα (weighted mean of Kα1 and Kα2), from DFT lattice parameters and positions (GGA-PBE).
Kinematic intensities with the Lorentz-polarization factor, no thermal factor.

The 10 most intense peaks (2θ from 5° to 70°), low angle first:
hkl  d [Å]  2θ (°)  intensity
0 0 2  13.219  6.69  11
1 1 4  3.065  29.14  34
1 1 6  2.721  32.92  100
0 0 10  2.644  33.91  18
2 0 0  2.446  36.74  51
2 0 10  1.795  50.86  23
2 2 0  1.729  52.94  18
1 1 16  1.491  62.27  16
3 1 6  1.460  63.76  31
2 2 10  1.447  64.37  11

Cell and atoms:
Cell lengths 4.892, 4.892, 26.439 Å; angles 90.00, 90.00, 90.00 degrees
Space group I4/mmm (No. 139)
Symmetry-distinct sites (fractional):
Pr  0.000  0.000  0.194 (multiplicity 4)
Dy  0.000  0.000  0.000 (multiplicity 2)
Dy  0.000  0.500  0.092 (multiplicity 8)
Bi  0.000  0.000  0.321 (multiplicity 4)
Bi  0.000  0.000  0.500 (multiplicity 2)
C  0.000  0.000  0.093 (multiplicity 4)

Computed powder diffraction line list of Er7Bi2C2 for Cu Kα (weighted mean of Kα1 and Kα2), from DFT lattice parameters and positions (GGA-PBE).
Kinematic intensities with the Lorentz-polarization factor, no thermal factor.

The 10 most intense peaks (2θ from 5° to 70°), low angle first:
hkl  d [Å]  2θ (°)  intensity
1 0 1  3.244  27.49  24
1 2 1  3.010  29.68  37
0 3 3  2.789  32.09  100
1 1 2  2.772  32.30  31
0 6 0  2.689  33.32  43
1 4 1  2.528  35.51  59
1 3 2  2.493  36.03  31
1 1 4  1.979  45.86  18
2 0 0  1.719  53.27  17
2 3 3  1.464  63.56  29

Cell and atoms:
Cell lengths 3.439, 16.133, 9.787 Å; angles 90.00, 90.00, 90.00 degrees
Space group Imm2 (No. 44)
Symmetry-distinct sites (fractional):
Er  0.000  0.000  0.000 (multiplicity 2)
Er  0.000  0.144  0.433 (multiplicity 4)
Er  0.000  0.310  0.629 (multiplicity 4)
Er  0.000  0.338  0.298 (multiplicity 4)
Bi  0.000  0.000  0.670 (multiplicity 2)
Bi  0.000  0.500  0.775 (multiplicity 2)
C  0.000  0.260  0.869 (multiplicity 4)

Computed powder diffraction line list of Er8BiC4 for Cu Kα (weighted mean of Kα1 and Kα2), from DFT lattice parameters and positions (GGA-PBE).
Kinematic intensities with the Lorentz-polarization factor, no thermal factor.

The 10 most intense peaks (2θ from 5° to 70°), low angle first:
hkl  d [Å]  2θ (°)  intensity
1 1 1  3.061  29.17  34
6 0 -3  2.870  31.17  71
3 1 0  2.776  32.24  100
2 0 -4  2.728  32.83  44
3 1 -3  2.657  33.73  96
4 0 1  2.572  34.88  42
0 2 0  1.801  50.69  21
1 1 4  1.744  52.47  38
9 1 -3  1.665  55.16  27
6 2 -3  1.525  60.71  22

Cell and atoms:
Cell lengths 17.307, 3.602, 11.816 Å; angles 90.00, 130.95, 90.00 degrees
Space group C2/m (No. 12)
Symmetry-distinct sites (fractional):
Er  0.041  0.000  0.234 (multiplicity 4)
Er  0.132  0.500  0.089 (multiplicity 4)
Er  0.166  0.500  0.842 (multiplicity 4)
Er  0.206  0.500  0.569 (multiplicity 4)
Bi  0.000  0.000  0.500 (multiplicity 2)
C  0.148  0.000  0.959 (multiplicity 4)
C  0.166  0.500  0.329 (multiplicity 4)

Computed powder diffraction line list of Er3Bi3C for Cu Kα (weighted mean of Kα1 and Kα2), from DFT lattice parameters and positions (GGA-PBE).
Kinematic intensities with the Lorentz-polarization factor, no thermal factor.

The 10 most intense peaks (2θ from 5° to 70°), low angle first:
hkl  d [Å]  2θ (°)  intensity
0 2 2  3.151  28.32  27
1 3 1  3.100  28.80  100
3 1 -1  2.873  31.13  35
2 2 -2  2.749  32.57  51
2 0 2  2.735  32.75  26
1 1 -3  2.475  36.30  20
4 2 0  2.113  42.80  13
2 4 -2  2.102  43.03  16
3 5 -1  1.797  50.80  15
1 5 -3  1.686  54.41  13

Cell and atoms:
Cell lengths 9.208, 11.288, 7.681 Å; angles 90.00, 98.17, 90.00 degrees
Space group C2/m (No. 12)
Symmetry-distinct sites (fractional):
Er  0.098  0.000  0.335 (multiplicity 4)
Er  0.250  0.160  0.756 (multiplicity 8)
Bi  0.000  0.190  0.000 (multiplicity 4)
Bi  0.000  0.302  0.500 (multiplicity 4)
Bi  0.061  0.500  0.805 (multiplicity 4)
C  0.142  0.000  0.636 (multiplicity 4)